(1)
Diffraction record for NdPa2NiN4. The PXRD pattern is simulated, not measured: it uses a cell relaxed with GGA-PBE and Cu Kα (λ = 1.5418 Å).
Lines closer than 0.1° are merged.

Structure:
a = 3.5037 Å, b = 11.4754 Å, c = 11.4544 Å
α = 90.00°, β = 90.00°, γ = 90.00°
Space group Cmcm (No. 63)
Inequivalent atoms, fractional coordinates:
Nd 0.0000 0.1046 0.2500 [4 per cell]
Pa 0.0000 0.3687 0.0607 [8 per cell]
Ni 0.0000 0.1643 0.7500 [4 per cell]
N 0.0000 0.0000 0.0000 [4 per cell]
N 0.0000 0.2702 0.6117 [8 per cell]
N 0.0000 0.4442 0.2500 [4 per cell]

The 10 most intense peaks (2θ from 10° to 90°), by angle:
d (Å), 2θ (°), Rel. int.
3.179, 28.07, 100
2.892, 30.92, 81
2.868, 31.18, 64
2.520, 35.63, 61
2.355, 38.21, 63
1.891, 48.11, 29
1.752, 52.21, 20
1.715, 53.44, 49
1.710, 53.59, 21
1.534, 60.32, 26

(2)
Diffraction record for NdPa2NiN5. The PXRD pattern is simulated, not measured: it uses a cell relaxed with GGA-PBE and Cu Kα (λ = 1.5418 Å).
Lines closer than 0.1° are merged.

Structure:
a = 3.4582 Å, b = 14.0725 Å, c = 9.9882 Å
α = 90.00°, β = 90.00°, γ = 90.00°
Space group Cmc2_1 (No. 36)
Inequivalent atoms, fractional coordinates:
Nd 0.0000 0.2038 0.0000 [4 per cell]
Pa 0.0000 0.0928 0.6910 [4 per cell]
Pa 0.0000 0.1278 0.3051 [4 per cell]
Ni 0.0000 0.4800 0.4720 [4 per cell]
N 0.0000 0.0514 0.0993 [4 per cell]
N 0.0000 0.2818 0.7220 [4 per cell]
N 0.0000 0.3585 0.3629 [4 per cell]
N 0.0000 0.3799 0.0314 [4 per cell]
N 0.0000 0.4798 0.7921 [4 per cell]

The 10 most intense peaks (2θ from 10° to 90°), by angle:
d (Å), 2θ (°), Rel. int.
3.358, 26.54, 51
3.318, 26.87, 28
3.009, 29.69, 88
2.876, 31.10, 53
2.785, 32.14, 100
2.681, 33.42, 35
2.364, 38.06, 74
2.134, 42.35, 34
2.000, 45.34, 44
1.623, 56.72, 32

(3)
Diffraction record for NdTi2NiN4. The PXRD pattern is simulated, not measured: it uses a cell relaxed with GGA-PBE and Cu Kα (λ = 1.5418 Å).
Lines closer than 0.1° are merged.

Structure:
a = 3.1643 Å, b = 10.6272 Å, c = 10.6328 Å
α = 90.00°, β = 90.00°, γ = 90.00°
Space group Cmcm (No. 63)
Inequivalent atoms, fractional coordinates:
Nd 0.0000 0.1067 0.2500 [4 per cell]
Ti 0.0000 0.3671 0.0493 [8 per cell]
Ni 0.0000 0.1576 0.7500 [4 per cell]
N 0.0000 0.0000 0.0000 [4 per cell]
N 0.0000 0.2669 0.6068 [8 per cell]
N 0.0000 0.4366 0.2500 [4 per cell]

The 10 most intense peaks (2θ from 10° to 90°), by angle:
d (Å), 2θ (°), Rel. int.
5.316, 16.68, 70
2.949, 30.31, 44
2.658, 33.73, 93
2.634, 34.03, 100
2.304, 39.10, 60
2.157, 41.88, 77
1.999, 45.37, 25
1.879, 48.44, 27
1.583, 58.29, 30
1.580, 58.42, 31

(4)
Diffraction record for NdNp2N4. The PXRD pattern is simulated, not measured: it uses a cell relaxed with GGA-PBE and Cu Kα (λ = 1.5418 Å).
Lines closer than 0.1° are merged.

Structure:
a = 3.4437 Å, b = 11.3642 Å, c = 10.6134 Å
α = 90.00°, β = 90.00°, γ = 90.00°
Space group Cmcm (No. 63)
Inequivalent atoms, fractional coordinates:
Nd 0.0000 0.1077 0.2500 [4 per cell]
Np 0.0000 0.3685 0.0689 [8 per cell]
N 0.0000 0.0000 0.0000 [4 per cell]
N 0.0000 0.2696 0.6036 [8 per cell]
N 0.0000 0.4556 0.2500 [4 per cell]

The 10 most intense peaks (2θ from 10° to 90°), by angle:
d (Å), 2θ (°), Rel. int.
3.147, 28.36, 33
3.003, 29.75, 100
2.841, 31.49, 39
2.800, 31.97, 43
2.548, 35.22, 20
2.478, 36.26, 27
2.297, 39.22, 31
1.785, 51.17, 36
1.671, 54.96, 34
1.494, 62.14, 26

(5)
Diffraction record for NdNp2N3. The PXRD pattern is simulated, not measured: it uses a cell relaxed with GGA-PBE and Cu Kα (λ = 1.5418 Å).
Lines closer than 0.1° are merged.

Structure:
a = 3.4869 Å, b = 5.0074 Å, c = 10.5436 Å
α = 90.00°, β = 90.00°, γ = 90.00°
Space group Immm (No. 71)
Inequivalent atoms, fractional coordinates:
Nd 0.0000 0.0000 0.0000 [2 per cell]
Np 0.0000 0.0000 0.3348 [4 per cell]
N 0.0000 0.5000 0.0000 [2 per cell]
N 0.0000 0.5000 0.3159 [4 per cell]

The 10 most intense peaks (2θ from 10° to 90°), by angle:
d (Å), 2θ (°), Rel. int.
2.877, 31.09, 100
2.861, 31.26, 98
2.504, 35.87, 45
2.475, 36.29, 87
1.760, 51.97, 78
1.507, 61.55, 31
1.497, 61.97, 31
1.491, 62.27, 30
1.438, 64.82, 16
1.141, 85.05, 20

(6)
Diffraction record for Nd4NpN5. The PXRD pattern is simulated, not measured: it uses a cell relaxed with GGA-PBE and Cu Kα (λ = 1.5418 Å).
Lines closer than 0.1° are merged.

Structure:
a = 8.0260 Å, b = 8.0260 Å, c = 5.1020 Å
α = 90.00°, β = 90.00°, γ = 90.00°
Space group I4/m (No. 87)
Inequivalent atoms, fractional coordinates:
Nd 0.0999 0.7012 0.0000 [8 per cell]
Np 0.0000 0.0000 0.5000 [2 per cell]
N 0.0000 0.0000 0.0000 [2 per cell]
N 0.0907 0.7295 0.5000 [8 per cell]

The 10 most intense peaks (2θ from 10° to 90°), by angle:
d (Å), 2θ (°), Rel. int.
2.936, 30.45, 100
2.551, 35.18, 24
2.538, 35.37, 46
1.799, 50.74, 33
1.795, 50.88, 16
1.537, 60.21, 15
1.531, 60.46, 31
1.468, 63.37, 17
1.167, 82.66, 13
1.140, 85.13, 7

(7)
Diffraction record for NdSm2NpN4. The PXRD pattern is simulated, not measured: it uses a cell relaxed with GGA-PBE and Cu Kα (λ = 1.5418 Å).
Lines closer than 0.1° are merged.

Structure:
a = 3.4734 Å, b = 13.2853 Å, c = 11.2184 Å
α = 90.00°, β = 90.00°, γ = 90.00°
Space group Cmcm (No. 63)
Inequivalent atoms, fractional coordinates:
Nd 0.0000 0.2315 0.2500 [4 per cell]
Sm 0.0000 0.3724 0.5143 [8 per cell]
Np 0.0000 0.0371 0.7500 [4 per cell]
N 0.0000 0.0000 0.0000 [4 per cell]
N 0.0000 0.2008 0.6166 [8 per cell]
N 0.0000 0.4274 0.7500 [4 per cell]

The 10 most intense peaks (2θ from 10° to 90°), by angle:
d (Å), 2θ (°), Rel. int.
2.883, 31.02, 100
2.858, 31.30, 82
2.805, 31.91, 57
2.733, 32.77, 28
2.655, 33.76, 43
2.207, 40.90, 18
2.110, 42.85, 20
1.957, 46.39, 25
1.734, 52.79, 20
1.484, 62.59, 23

(8)
Diffraction record for SrNdNpN4. The PXRD pattern is simulated, not measured: it uses a cell relaxed with GGA-PBE and Cu Kα (λ = 1.5418 Å).
Lines closer than 0.1° are merged.

Structure:
a = 4.2097 Å, b = 4.2097 Å, c = 12.7302 Å
α = 90.00°, β = 90.00°, γ = 90.00°
Space group I4mm (No. 107)
Inequivalent atoms, fractional coordinates:
Sr 0.0000 0.0000 0.0000 [2 per cell]
Nd 0.0000 0.0000 0.2940 [2 per cell]
Np 0.0000 0.0000 0.6465 [2 per cell]
N 0.0000 0.0000 0.4835 [2 per cell]
N 0.0000 0.0000 0.8071 [2 per cell]
N 0.0000 0.5000 0.1580 [4 per cell]

The 10 most intense peaks (2θ from 10° to 90°), by angle:
d (Å), 2θ (°), Rel. int.
6.365, 13.91, 31
3.997, 22.24, 15
2.989, 29.90, 100
2.977, 30.02, 60
2.178, 41.45, 17
2.105, 42.97, 28
1.728, 53.00, 19
1.721, 53.23, 42
1.494, 62.12, 14
1.332, 70.75, 20

(9)
Diffraction record for NdTm2NpN4. The PXRD pattern is simulated, not measured: it uses a cell relaxed with GGA-PBE and Cu Kα (λ = 1.5418 Å).
Lines closer than 0.1° are merged.

Structure:
a = 3.3928 Å, b = 13.0523 Å, c = 10.8337 Å
α = 90.00°, β = 90.00°, γ = 90.00°
Space group Cmcm (No. 63)
Inequivalent atoms, fractional coordinates:
Nd 0.0000 0.2324 0.2500 [4 per cell]
Tm 0.0000 0.3722 0.5129 [8 per cell]
Np 0.0000 0.0345 0.7500 [4 per cell]
N 0.0000 0.0000 0.0000 [4 per cell]
N 0.0000 0.2011 0.6087 [8 per cell]
N 0.0000 0.4212 0.7500 [4 per cell]

The 10 most intense peaks (2θ from 10° to 90°), by angle:
d (Å), 2θ (°), Rel. int.
2.808, 31.87, 100
2.795, 32.02, 87
2.708, 33.07, 56
2.675, 33.49, 32
2.597, 34.53, 37
2.069, 43.75, 21
1.903, 47.79, 27
1.696, 54.06, 17
1.581, 58.36, 32
1.450, 64.23, 25

(10)
Diffraction record for Nd2NO. The PXRD pattern is simulated, not measured: it uses a cell relaxed with GGA-PBE and Cu Kα (λ = 1.5418 Å).
Lines closer than 0.1° are merged.

Structure:
a = 6.0867 Å, b = 6.1481 Å, c = 3.5451 Å
α = 90.00°, β = 90.00°, γ = 90.00°
Space group Pnnm (No. 58)
Inequivalent atoms, fractional coordinates:
Nd 0.2430 0.1661 0.0000 [4 per cell]
N 0.0000 0.0000 0.5000 [2 per cell]
O 0.0000 0.5000 0.0000 [2 per cell]

The 10 most intense peaks (2θ from 10° to 90°), by angle:
d (Å), 2θ (°), Rel. int.
3.072, 29.07, 14
3.043, 29.35, 23
2.743, 32.65, 100
2.162, 41.78, 24
1.774, 51.53, 22
1.693, 54.18, 23
1.532, 60.41, 19
1.489, 62.35, 16
1.155, 83.75, 10
1.141, 85.02, 9

(11)
Diffraction record for PmNdNO. The PXRD pattern is simulated, not measured: it uses a cell relaxed with GGA-PBE and Cu Kα (λ = 1.5418 Å).
Lines closer than 0.1° are merged.

Structure:
a = 3.5895 Å, b = 3.5895 Å, c = 5.0742 Å
α = 90.00°, β = 90.00°, γ = 90.00°
Space group P4/mmm (No. 123)
Inequivalent atoms, fractional coordinates:
Pm 0.0000 0.0000 0.0000 [1 per cell]
Nd 0.5000 0.5000 0.5000 [1 per cell]
N 0.5000 0.5000 0.0000 [1 per cell]
O 0.0000 0.0000 0.5000 [1 per cell]

The 8 most intense peaks (2θ from 10° to 90°), by angle:
d (Å), 2θ (°), Rel. int.
2.930, 30.51, 100
2.538, 35.37, 78
1.795, 50.88, 54
1.530, 60.50, 45
1.465, 63.49, 18
1.269, 74.82, 8
1.164, 82.91, 19
1.135, 85.57, 24

(12)
Diffraction record for TbNdNO. The PXRD pattern is simulated, not measured: it uses a cell relaxed with GGA-PBE and Cu Kα (λ = 1.5418 Å).
Lines closer than 0.1° are merged.

Structure:
a = 3.2289 Å, b = 3.2319 Å, c = 12.0366 Å
α = 90.00°, β = 90.00°, γ = 90.00°
Space group Imm2 (No. 44)
Inequivalent atoms, fractional coordinates:
Tb 0.0000 0.0000 0.0000 [2 per cell]
Nd 0.0000 0.5000 0.7434 [2 per cell]
N 0.0000 0.0000 0.5845 [2 per cell]
O 0.0000 0.5000 0.3456 [2 per cell]

The 10 most intense peaks (2θ from 10° to 90°), by angle:
d (Å), 2θ (°), Rel. int.
3.120, 28.61, 100
3.009, 29.69, 47
2.516, 35.68, 70
2.136, 42.32, 90
1.930, 47.08, 36
1.615, 57.02, 20
1.507, 61.52, 23
1.434, 65.02, 21
1.423, 65.60, 20
1.359, 69.10, 20